Entry 1:
The following is a simulated powder diffractogram of TaTiNi5. It was derived from a structure optimized by DFT (PBE), using Cu Kα (λ = 1.5418 Å).

Peak list (6 most intense, 2θ from 15° to 90°, sorted by position)
two_theta  intensity
25.39  27
28.10  28
35.08  24
43.80  100
52.15  29
74.12  19

Crystal structure
Cell: 3.508 3.508 7.479 Å, 90.00 90.00 90.00°
Positions (direct):
Ta1 0.000 0.000 0.000
Ti1 0.500 0.500 0.500
Ni1 0.000 0.000 0.500
Ni2 0.000 0.500 0.246
Ni3 0.000 0.500 0.754
Ni4 0.500 0.000 0.246
Ni5 0.500 0.000 0.754

Entry 2:
The following is a simulated powder diffractogram of UTaNi14. It was derived from a structure optimized by DFT (PBE), using Cu Kα (λ = 1.5418 Å).

Peak list (6 most intense, 2θ from 15° to 90°, sorted by position)
two_theta  intensity
27.31  15
43.20  100
49.44  33
52.03  14
74.60  18
88.31  24

Crystal structure
Cell: 5.214 5.214 7.031 Å, 90.00 90.00 90.00°
Positions (direct):
U1 0.000 0.000 0.000
Ta1 0.500 0.500 0.000
Ni1 0.000 0.000 0.500
Ni2 0.000 0.500 0.000
Ni3 0.000 0.500 0.500
Ni4 0.252 0.252 0.259
Ni5 0.252 0.252 0.741
Ni6 0.252 0.748 0.259
Ni7 0.252 0.748 0.741
Ni8 0.500 0.000 0.000
Ni9 0.500 0.000 0.500
Ni10 0.500 0.500 0.500
Ni11 0.748 0.252 0.259
Ni12 0.748 0.252 0.741
Ni13 0.748 0.748 0.259
Ni14 0.748 0.748 0.741

Entry 3:
The following is a simulated powder diffractogram of TaNiW. It was derived from a structure optimized by DFT (PBE), using Cu Kα (λ = 1.5418 Å).

Peak list (6 most intense, 2θ from 15° to 90°, sorted by position)
two_theta  intensity
37.11  100
37.50  91
38.05  87
40.08  56
42.47  74
47.33  64

Crystal structure
Cell: 9.553 8.932 4.895 Å, 81.80 67.73 30.48°
Positions (direct):
Ta1 0.047 0.703 0.047
Ta2 0.297 0.953 0.297
Ta3 0.703 0.047 0.703
Ta4 0.953 0.297 0.953
Ni1 0.001 0.001 0.249
Ni2 0.249 0.249 0.001
Ni3 0.751 0.751 0.999
Ni4 0.999 0.999 0.751
W1 0.297 0.297 0.453
W2 0.453 0.453 0.297
W3 0.547 0.547 0.703
W4 0.703 0.703 0.547

Entry 4:
The following is a simulated powder diffractogram of TaZn2Ni2. It was derived from a structure optimized by DFT (PBE), using Cu Kα (λ = 1.5418 Å).

Peak list (6 most intense, 2θ from 15° to 90°, sorted by position)
two_theta  intensity
36.26  30
37.42  30
40.72  100
41.77  51
43.81  64
82.62  32

Crystal structure
Cell: 7.007 7.007 2.749 Å, 90.00 90.00 90.00°
Positions (direct):
Ta1 0.000 0.000 0.000
Ta2 0.500 0.500 0.000
Zn1 0.165 0.335 0.500
Zn2 0.335 0.835 0.500
Zn3 0.665 0.165 0.500
Zn4 0.835 0.665 0.500
Ni1 0.131 0.631 0.000
Ni2 0.369 0.131 0.000
Ni3 0.631 0.869 0.000
Ni4 0.869 0.369 0.000

Entry 5:
The following is a simulated powder diffractogram of ZrTaNi10. It was derived from a structure optimized by DFT (PBE), using Cu Kα (λ = 1.5418 Å).

Peak list (6 most intense, 2θ from 15° to 90°, sorted by position)
two_theta  intensity
31.53  45
38.38  29
44.61  33
44.90  100
45.77  31
73.97  21

Crystal structure
Cell: 3.965 4.695 8.118 Å, 90.00 90.00 90.00°
Positions (direct):
Zr1 0.000 0.000 0.000
Ta1 0.000 0.500 0.500
Ni1 0.000 0.000 0.338
Ni2 0.000 0.000 0.662
Ni3 0.000 0.500 0.173
Ni4 0.000 0.500 0.827
Ni5 0.500 0.000 0.500
Ni6 0.500 0.253 0.255
Ni7 0.500 0.253 0.745
Ni8 0.500 0.500 0.000
Ni9 0.500 0.747 0.255
Ni10 0.500 0.747 0.745

Entry 6:
The following is a simulated powder diffractogram of TbNi4. It was derived from a structure optimized by DFT (PBE), using Cu Kα (λ = 1.5418 Å).

Peak list (6 most intense, 2θ from 15° to 90°, sorted by position)
two_theta  intensity
30.33  63
37.37  100
40.49  55
43.42  31
46.20  80
69.51  33

Crystal structure
Cell: 7.219 7.219 7.219 Å, 109.47 109.47 109.47°
Positions (direct):
Tb1 0.000 0.000 0.447
Tb2 0.000 0.447 0.000
Tb3 0.447 0.000 0.000
Tb4 0.553 0.553 0.553
Ni1 0.000 0.000 0.801
Ni2 0.000 0.352 0.352
Ni3 0.000 0.648 0.648
Ni4 0.000 0.801 0.000
Ni5 0.199 0.199 0.199
Ni6 0.250 0.500 0.750
Ni7 0.250 0.750 0.500
Ni8 0.352 0.000 0.352
Ni9 0.352 0.352 0.000
Ni10 0.500 0.250 0.750
Ni11 0.500 0.750 0.250
Ni12 0.648 0.000 0.648
Ni13 0.648 0.648 0.000
Ni14 0.750 0.250 0.500
Ni15 0.750 0.500 0.250
Ni16 0.801 0.000 0.000